# 1
This entry pairs a crystal structure of AsPt2W with its computed PXRD pattern. Radiation: λ = 1.5418 Å (Cu Kα). Structure: a cell relaxed with PBE.
Kinematic intensities with the Lorentz-polarization factor, no thermal factor.

Structure:
Lattice parameters (Å, degrees): 2.9032 4.0626 5.4324 90.00 90.29 90.00
Space group P2/m (No. 10)
Symmetry-distinct sites (fractional):
As 0.0000 0.0000 0.0000 [1 per cell]
Pt 0.4997 0.5000 0.2584 [2 per cell]
W 0.0000 0.0000 0.5000 [1 per cell]

Peak list (10 most intense, 2θ from 10° to 80°, by angle)
16.3°, I = 15, (0 0 1)
38.1°, I = 100, (1 1 0)
39.9°, I = 87, (0 1 2)
44.6°, I = 32, (0 2 0)
45.6°, I = 30, (1 0 -2)
45.9°, I = 30, (1 0 2)
65.7°, I = 20, (1 2 -2)
65.9°, I = 20, (1 2 2)
77.8°, I = 14, (1 3 0)
78.1°, I = 13, (2 1 -2)



# 2
This entry pairs a crystal structure of Cd2AgHg with its computed PXRD pattern. Radiation: λ = 1.5418 Å (Cu Kα). Structure: a cell relaxed with PBE.
Kinematic intensities with the Lorentz-polarization factor, no thermal factor.

Structure:
Lattice parameters (Å, degrees): 3.4661 4.9267 10.0129 90.00 90.00 90.00
Space group Immm (No. 71)
Symmetry-distinct sites (fractional):
Cd 0.0000 0.0000 0.2385 [4 per cell]
Ag 0.0000 0.5000 0.5000 [2 per cell]
Hg 0.0000 0.5000 0.0000 [2 per cell]

Peak list (10 most intense, 2θ from 10° to 80°, by angle)
32.4°, I = 3, (0 1 3)
35.9°, I = 20, (0 0 4)
36.4°, I = 100, (0 2 0)
52.1°, I = 14, (0 2 4)
52.8°, I = 8, (2 0 0)
64.8°, I = 13, (1 1 6)
65.5°, I = 7, (2 0 4)
65.6°, I = 14, (1 3 2)
65.9°, I = 8, (2 2 0)
77.4°, I = 8, (2 2 4)



- What is the formula in the first record?
  AsPt2W